No. 1
For Li2MnVP3O12, the PBE+U geometry in the Materials Project gives the calculated PXRD pattern in this record (Cu Kα, 1.54184 Å).
Kinematic intensities with the Lorentz-polarization factor, no thermal factor.

```
data_Li2MnVP3O12
_symmetry_space_group_name_H-M 'P 1'
_symmetry_Int_Tables_number 1
_cell_length_a 8.314
_cell_length_b 8.343
_cell_length_c 8.914
_cell_angle_alpha 62.14
_cell_angle_beta 89.80
_cell_angle_gamma 61.39
loop_
_symmetry_equiv_pos_as_xyz
'x,y,z'
loop_
_atom_site_label
_atom_site_type_symbol
_atom_site_fract_x
_atom_site_fract_y
_atom_site_fract_z
Li1 Li 0.000 0.000 0.000
Li2 Li 0.052 0.115 0.293
Li3 Li 0.244 0.349 0.994
Li4 Li 0.588 0.766 0.996
Mn1 Mn 0.665 0.245 0.185
Mn2 Mn 0.979 0.639 0.088
V1 V 0.174 0.240 0.692
V2 V 0.469 0.653 0.566
P1 P 0.070 0.732 0.383
P2 P 0.289 0.733 0.882
P3 P 0.367 0.146 0.385
P4 P 0.570 0.168 0.878
P5 P 0.783 0.451 0.380
P6 P 0.860 0.441 0.888
O1 O 0.064 0.328 0.865
O2 O 0.102 0.696 0.224
O3 O 0.131 0.519 0.559
O4 O 0.158 0.643 0.941
O5 O 0.181 0.280 0.232
O6 O 0.184 0.965 0.854
O7 O 0.212 0.799 0.400
O8 O 0.312 0.751 0.705
O9 O 0.318 0.149 0.549
O10 O 0.435 0.092 0.857
O11 O 0.461 0.910 0.430
O12 O 0.482 0.596 0.021
O13 O 0.500 0.228 0.335
O14 O 0.509 0.378 0.700
O15 O 0.520 0.225 0.022
O16 O 0.587 0.562 0.405
O17 O 0.707 0.549 0.723
O18 O 0.779 0.997 0.923
O19 O 0.793 0.635 0.222
O20 O 0.814 0.281 0.337
O21 O 0.837 0.604 0.936
O22 O 0.860 0.246 0.048
O23 O 0.868 0.910 0.344
O24 O 0.943 0.334 0.550
```

Principal peaks in the range 2θ from 10° to 90°, sorted by position:
(0 1 0), 2θ = 14.26°, I 49
(1 0 -1), 2θ = 14.60°, I 90
(1 0 1), 2θ = 19.58°, I 42
(0 1 2), 2θ = 20.02°, I 82
(1 -1 0), 2θ = 23.74°, I 35
(-1 1 2), 2θ = 24.29°, I 100
(1 2 2), 2θ = 24.47°, I 31
(0 2 0), 2θ = 28.76°, I 35
(2 0 -2), 2θ = 29.45°, I 61
(-1 1 3), 2θ = 32.11°, I 39

=====

No. 2
For K4MgMo2O8, the PBE+U geometry in the Materials Project gives the calculated PXRD pattern in this record (Cu Kα, 1.54184 Å).
Kinematic intensities with the Lorentz-polarization factor, no thermal factor.

```
data_K4MgMo2O8
_symmetry_space_group_name_H-M 'C 1 m 1'
_symmetry_Int_Tables_number 8
_cell_length_a 14.180
_cell_length_b 6.488
_cell_length_c 7.652
_cell_angle_alpha 90.00
_cell_angle_beta 121.47
_cell_angle_gamma 90.00
loop_
_symmetry_equiv_pos_as_xyz
'x,y,z'
'x,-y,z'
'x+1/2,y+1/2,z'
'x+1/2,-y+1/2,z'
loop_
_atom_site_label
_atom_site_type_symbol
_atom_site_fract_x
_atom_site_fract_y
_atom_site_fract_z
K1 K 0.000 0.000 0.000
K2 K 0.017 0.000 0.563
K3 K 0.078 0.500 0.533
K4 K 0.301 0.000 0.015
Mg1 Mg 0.274 0.500 0.476
Mo1 Mo 0.162 0.500 0.038
Mo2 Mo 0.290 0.000 0.531
O1 O 0.117 0.500 0.236
O2 O 0.128 0.262 0.888
O3 O 0.138 0.000 0.400
O4 O 0.313 0.500 0.259
O5 O 0.326 0.261 0.668
O6 O 0.369 0.000 0.403
```

Principal peaks in the range 2θ from 10° to 90°, sorted by position:
(2 0 -1), 2θ = 13.82°, I 60
(2 0 0), 2θ = 14.65°, I 47
(1 1 -1), 2θ = 17.93°, I 37
(1 1 1), 2θ = 23.07°, I 37
(4 0 -1), 2θ = 25.18°, I 35
(3 1 0), 2θ = 26.02°, I 100
(0 0 2), 2θ = 27.33°, I 63
(0 2 0), 2θ = 27.50°, I 87
(3 1 -2), 2θ = 28.19°, I 75
(0 2 2), 2θ = 39.16°, I 54

=====

No. 3
For Sr12Zn2Co6O25, the PBE+U geometry in the Materials Project gives the calculated PXRD pattern in this record (Cu Kα, 1.54184 Å).
Kinematic intensities with the Lorentz-polarization factor, no thermal factor.

```
data_Sr12Zn2Co6O25
_symmetry_space_group_name_H-M 'C 1 2/m 1'
_symmetry_Int_Tables_number 12
_cell_length_a 11.107
_cell_length_b 11.107
_cell_length_c 10.409
_cell_angle_alpha 90.00
_cell_angle_beta 105.52
_cell_angle_gamma 90.00
loop_
_symmetry_equiv_pos_as_xyz
'x,y,z'
'-x,-y,-z'
'-x,y,-z'
'x,-y,z'
'x+1/2,y+1/2,z'
'-x+1/2,-y+1/2,-z'
'-x+1/2,y+1/2,-z'
'x+1/2,-y+1/2,z'
loop_
_atom_site_label
_atom_site_type_symbol
_atom_site_fract_x
_atom_site_fract_y
_atom_site_fract_z
Sr1 Sr 0.000 0.243 0.000
Sr2 Sr 0.089 0.254 0.355
Sr3 Sr 0.157 0.500 0.642
Sr4 Sr 0.165 0.000 0.643
Sr5 Sr 0.243 0.000 0.001
Zn1 Zn 0.050 0.500 0.203
Co1 Co 0.048 0.000 0.193
Co2 Co 0.198 0.250 0.790
O1 O 0.000 0.000 0.000
O2 O 0.087 0.131 0.818
O3 O 0.089 0.368 0.833
O4 O 0.092 0.000 0.376
O5 O 0.103 0.500 0.399
O6 O 0.151 0.247 0.605
O7 O 0.173 0.369 0.166
O8 O 0.177 0.132 0.182
```

Principal peaks in the range 2θ from 10° to 90°, sorted by position:
(2 2 2), 2θ = 31.89°, I 100
(0 4 0), 2θ = 32.24°, I 65
(2 2 3), 2θ = 38.91°, I 11
(4 0 -4), 2θ = 42.31°, I 24
(4 4 -1), 2θ = 46.24°, I 41
(0 4 5), 2θ = 56.60°, I 11
(6 2 1), 2θ = 57.27°, I 37
(4 4 -6), 2θ = 66.66°, I 10
(0 8 0), 2θ = 67.46°, I 12
(8 4 -2), 2θ = 76.75°, I 11

=====

No. 4
For VF5, the PBE+U geometry in the Materials Project gives the calculated PXRD pattern in this record (Cu Kα, 1.54184 Å).
Kinematic intensities with the Lorentz-polarization factor, no thermal factor.

```
data_VF5
_symmetry_space_group_name_H-M 'C m c e'
_symmetry_Int_Tables_number 64
_symmetry_space_group_name_Hall '-C 2ac 2'
_cell_length_a 9.005
_cell_length_b 7.859
_cell_length_c 11.224
_cell_angle_alpha 90.00
_cell_angle_beta 90.00
_cell_angle_gamma 90.00
loop_
_atom_site_label
_atom_site_type_symbol
_atom_site_fract_x
_atom_site_fract_y
_atom_site_fract_z
V1 V 0.000 0.159 0.092
F1 F 0.000 0.001 0.796
F2 F 0.000 0.214 0.462
F3 F 0.132 0.000 0.000
F4 F 0.154 0.239 0.652
```

Principal peaks in the range 2θ from 10° to 90°, sorted by position:
(0 0 2), 2θ = 15.79°, I 17
(1 1 1), 2θ = 16.93°, I 98
(2 0 0), 2θ = 19.72°, I 69
(1 1 2), 2θ = 21.82°, I 100
(0 2 3), 2θ = 33.06°, I 16
(2 2 2), 2θ = 34.24°, I 25
(2 2 3), 2θ = 38.79°, I 21
(0 2 4), 2θ = 39.46°, I 14
(4 2 2), 2θ = 49.40°, I 16
(1 3 5), 2θ = 54.81°, I 21

=====

No. 5
For Li9Mn2Co5O16, the PBE+U geometry in the Materials Project gives the calculated PXRD pattern in this record (Cu Kα, 1.54184 Å).
Kinematic intensities with the Lorentz-polarization factor, no thermal factor.

```
data_Li9Mn2Co5O16
_symmetry_space_group_name_H-M 'P 1'
_symmetry_Int_Tables_number 1
_cell_length_a 3.028
_cell_length_b 6.420
_cell_length_c 15.548
_cell_angle_alpha 89.02
_cell_angle_beta 87.29
_cell_angle_gamma 76.73
loop_
_symmetry_equiv_pos_as_xyz
'x,y,z'
loop_
_atom_site_label
_atom_site_type_symbol
_atom_site_fract_x
_atom_site_fract_y
_atom_site_fract_z
Li1 Li 0.000 0.000 0.000
Li2 Li 0.055 0.881 0.187
Li3 Li 0.110 0.761 0.373
Li4 Li 0.244 0.503 0.750
Li5 Li 0.372 0.253 0.126
Li6 Li 0.488 0.008 0.498
Li7 Li 0.619 0.756 0.876
Li8 Li 0.738 0.509 0.247
Li9 Li 0.867 0.256 0.624
Mn1 Mn 0.176 0.629 0.560
Mn2 Mn 0.560 0.882 0.688
Co1 Co 0.304 0.384 0.939
Co2 Co 0.435 0.122 0.305
Co3 Co 0.676 0.638 0.068
Co4 Co 0.803 0.375 0.434
Co5 Co 0.931 0.135 0.814
O1 O 0.114 0.835 0.781
O2 O 0.125 0.676 0.972
O3 O 0.231 0.574 0.147
O4 O 0.292 0.416 0.344
O5 O 0.325 0.331 0.526
O6 O 0.416 0.180 0.722
O7 O 0.443 0.087 0.905
O8 O 0.536 0.913 0.088
O9 O 0.576 0.847 0.285
O10 O 0.623 0.676 0.468
O11 O 0.736 0.582 0.654
O12 O 0.783 0.430 0.846
O13 O 0.814 0.344 0.030
O14 O 0.879 0.187 0.226
O15 O 0.986 0.084 0.400
O16 O 0.999 0.929 0.595
```

Principal peaks in the range 2θ from 10° to 90°, sorted by position:
(0 1 -2), 2θ = 18.28°, I 100
(1 1 3), 2θ = 34.40°, I 19
(1 0 -3), 2θ = 35.75°, I 13
(0 2 4), 2θ = 36.81°, I 11
(0 2 -4), 2θ = 37.06°, I 8
(1 0 5), 2θ = 41.30°, I 34
(1 1 -5), 2θ = 43.41°, I 29
(0 3 2), 2θ = 44.99°, I 24
(2 1 0), 2θ = 61.30°, I 9
(1 4 -3), 2θ = 63.83°, I 9

=====

No. 6
For FePO4F, the PBE+U geometry in the Materials Project gives the calculated PXRD pattern in this record (Cu Kα, 1.54184 Å).
Kinematic intensities with the Lorentz-polarization factor, no thermal factor.

```
data_FePO4F
_symmetry_space_group_name_H-M 'P -1'
_symmetry_Int_Tables_number 2
_cell_length_a 5.359
_cell_length_b 5.364
_cell_length_c 7.429
_cell_angle_alpha 107.40
_cell_angle_beta 109.84
_cell_angle_gamma 96.18
loop_
_symmetry_equiv_pos_as_xyz
'x,y,z'
'-x,-y,-z'
loop_
_atom_site_label
_atom_site_type_symbol
_atom_site_fract_x
_atom_site_fract_y
_atom_site_fract_z
Fe1 Fe 0.000 0.000 0.000
Fe2 Fe 0.500 0.500 0.500
P1 P 0.110 0.431 0.762
O1 O 0.152 0.265 0.902
O2 O 0.188 0.657 0.396
O3 O 0.190 0.734 0.890
O4 O 0.307 0.368 0.653
F1 F 0.319 0.159 0.264
```

Principal peaks in the range 2θ from 10° to 90°, sorted by position:
(1 0 -1), 2θ = 17.85°, I 100
(0 1 -1), 2θ = 18.12°, I 88
(1 -1 0), 2θ = 22.29°, I 36
(-1 1 1), 2θ = 25.82°, I 26
(0 1 1), 2θ = 26.13°, I 62
(1 -1 1), 2θ = 26.56°, I 24
(1 0 1), 2θ = 26.70°, I 94
(1 1 -2), 2θ = 28.49°, I 90
(-2 1 1), 2θ = 36.52°, I 25
(2 0 2), 2θ = 54.94°, I 23

=====

No. 7
For Rb3LiErV2O8, the PBE+U geometry in the Materials Project gives the calculated PXRD pattern in this record (Cu Kα, 1.54184 Å).
Kinematic intensities with the Lorentz-polarization factor, no thermal factor.

```
data_Rb3LiErV2O8
_symmetry_space_group_name_H-M 'P 3 m 1'
_symmetry_Int_Tables_number 156
_cell_length_a 5.9600
_cell_length_b 5.9600
_cell_length_c 8.7855
_cell_angle_alpha 90.00
_cell_angle_beta 90.00
_cell_angle_gamma 120.00
loop_
_symmetry_equiv_pos_as_xyz
'x,y,z'
'-y,x-y,z'
'-x+y,-x,z'
'-y,-x,z'
'-x+y,y,z'
'x,x-y,z'
loop_
_atom_site_label
_atom_site_type_symbol
_atom_site_fract_x
_atom_site_fract_y
_atom_site_fract_z
Rb1 Rb 0.0000 0.0000 0.0000
Rb2 Rb 0.3333 0.6667 0.5694
Rb3 Rb 0.6667 0.3333 0.3553
Li1 Li 0.6667 0.3333 0.0508
Er1 Er 0.6667 0.3333 0.7707
V1 V 0.0000 0.0000 0.5457
V2 V 0.3333 0.6667 0.0174
O1 O 0.0000 0.0000 0.3535
O2 O 0.3236 0.1618 0.6119
O3 O 0.3333 0.6667 0.2146
O4 O 0.5035 0.0070 0.9421
```

Principal peaks in the range 2θ from 10° to 90°, sorted by position:
(0 0 1), 2θ = 10.07°, I 37
(1 0 0), 2θ = 17.18°, I 18
(0 1 1), 2θ = 19.95°, I 18
(0 1 2), 2θ = 26.65°, I 100
(1 1 0), 2θ = 29.99°, I 98
(1 0 3), 2θ = 35.24°, I 26
(2 0 2), 2θ = 40.54°, I 44
(1 2 2), 2θ = 51.24°, I 32
(1 1 4), 2θ = 51.70°, I 19
(3 0 0), 2θ = 53.24°, I 19

=====

No. 8
For ZnWO3, the PBE+U geometry in the Materials Project gives the calculated PXRD pattern in this record (Cu Kα, 1.54184 Å).
Kinematic intensities with the Lorentz-polarization factor, no thermal factor.

```
data_ZnWO3
_symmetry_space_group_name_H-M 'P n m a'
_symmetry_Int_Tables_number 62
_cell_length_a 5.384
_cell_length_b 7.941
_cell_length_c 5.330
_cell_angle_alpha 90.00
_cell_angle_beta 90.00
_cell_angle_gamma 90.00
loop_
_symmetry_equiv_pos_as_xyz
'x,y,z'
'-x,-y,-z'
'-x+1/2,-y,z+1/2'
'x+1/2,y,-z+1/2'
'x+1/2,-y+1/2,-z+1/2'
'-x+1/2,y+1/2,z+1/2'
'-x,y+1/2,-z'
'x,-y+1/2,z'
loop_
_atom_site_label
_atom_site_type_symbol
_atom_site_fract_x
_atom_site_fract_y
_atom_site_fract_z
Zn1 Zn 0.019 0.250 0.018
W1 W 0.000 0.000 0.500
O1 O 0.105 0.750 0.615
O2 O 0.177 0.569 0.163
```

Principal peaks in the range 2θ from 10° to 90°, sorted by position:
(0 2 0), 2θ = 22.39°, I 15
(1 0 1), 2θ = 23.49°, I 26
(1 2 1), 2θ = 32.67°, I 100
(2 0 0), 2θ = 33.28°, I 23
(0 0 2), 2θ = 33.63°, I 23
(0 4 0), 2θ = 45.70°, I 12
(2 0 2), 2θ = 48.04°, I 20
(3 2 1), 2θ = 59.09°, I 22
(1 2 3), 2θ = 59.53°, I 22
(2 4 2), 2θ = 68.47°, I 13